NiH4C2S4N2: computed PXRD pattern (Cu Kα, 1.54184 Å), based on the GGA-PBE geometry in OQMD.
Neutral-atom scattering factors, no anomalous dispersion.

Cell lengths 7.068, 12.855, 10.962 Å; angles 90.00, 129.75, 90.00 degrees
Atoms (fractional coordinates):
Ni  0.165  0.128  0.025
Ni  0.165  0.372  0.525
Ni  0.835  0.628  0.475
Ni  0.835  0.872  0.975
H  0.247  0.088  0.558
H  0.247  0.412  0.058
H  0.279  0.509  0.960
H  0.279  0.991  0.460
H  0.342  0.734  0.482
H  0.342  0.766  0.982
H  0.392  0.645  0.382
H  0.392  0.855  0.882
H  0.608  0.145  0.118
H  0.608  0.355  0.618
H  0.658  0.234  0.018
H  0.658  0.266  0.518
H  0.721  0.009  0.540
H  0.721  0.491  0.040
H  0.753  0.588  0.942
H  0.753  0.912  0.442
C  0.140  0.739  0.744
C  0.140  0.761  0.244
C  0.493  0.025  0.298
C  0.493  0.475  0.798
C  0.507  0.525  0.202
C  0.507  0.975  0.702
C  0.860  0.239  0.756
C  0.860  0.261  0.256
S  0.015  0.129  0.776
S  0.015  0.371  0.276
S  0.055  0.729  0.063
S  0.055  0.771  0.563
S  0.331  0.133  0.276
S  0.331  0.367  0.776
S  0.403  0.510  0.617
S  0.403  0.990  0.117
S  0.597  0.010  0.883
S  0.597  0.490  0.383
S  0.669  0.633  0.224
S  0.669  0.867  0.724
S  0.945  0.229  0.437
S  0.945  0.271  0.937
S  0.985  0.629  0.724
S  0.985  0.871  0.224
N  0.299  0.709  0.378
N  0.299  0.791  0.878
N  0.339  0.023  0.566
N  0.339  0.477  0.066
N  0.661  0.523  0.934
N  0.661  0.977  0.434
N  0.701  0.209  0.122
N  0.701  0.291  0.622

The 10 most intense peaks (2θ from 5° to 70°), sorted by position:
| (hkl) | d [Å] | 2theta | I_rel |
| --- | --- | --- | --- |
| 0 1 1 | 7.048 | 12.6 | 76 |
| 1 1 -1 | 6.194 | 14.3 | 44 |
| 1 2 -1 | 4.755 | 18.7 | 100 |
| 1 2 0 | 4.149 | 21.4 | 69 |
| 2 1 -2 | 3.408 | 26.2 | 52 |
| 1 3 0 | 3.365 | 26.5 | 46 |
| 2 2 -2 | 3.097 | 28.8 | 41 |
| 2 2 -1 | 2.912 | 30.7 | 62 |
| 1 0 -4 | 2.604 | 34.4 | 36 |
| 3 4 -2 | 1.856 | 49.1 | 40 |